Starting from a cell relaxed with GGA-PBE, the powder diffraction line list of Dy3ScPb12 was calculated for Cu Ka.

Principal peaks in the range 2θ = 10–90°, by angle:
2theta	I_rel
31.88	1000
36.70	347
37.55	161
52.87	124
53.51	236
63.08	293
64.23	134
66.64	123

Structural model:
```
Dy3ScPb12
1.0
4.8979 0.0000 0.0000
0.0000 4.8979 0.0000
0.0000 0.0000 19.1636
Dy Sc Pb
3 1 12
direct
0.0000 0.0000 0.0000
0.0000 0.0000 0.2518
0.0000 0.0000 0.7482
0.0000 0.0000 0.5000
0.0000 0.5000 0.1263
0.0000 0.5000 0.3793
0.0000 0.5000 0.6207
0.0000 0.5000 0.8737
0.5000 0.0000 0.1263
0.5000 0.0000 0.3793
0.5000 0.0000 0.6207
0.5000 0.0000 0.8737
0.5000 0.5000 0.0000
0.5000 0.5000 0.2527
0.5000 0.5000 0.5000
0.5000 0.5000 0.7473
```



Starting from a cell relaxed with GGA-PBE, the powder diffraction line list of Dy3PbSe6 was calculated for Cu Ka.

Principal peaks in the range 2θ = 10–90°, by angle:
2theta	I_rel
22.16	455
22.73	712
29.33	1000
30.29	430
32.34	545
39.54	385
39.83	581
43.35	660

Structural model:
```
Dy3PbSe6
1.0
11.7280 0.0000 0.0000
0.0000 4.1733 0.0000
-3.8995 0.0000 11.3884
Dy Pb Se
6 2 12
direct
0.0593 0.2500 0.1642
0.1766 0.7500 0.4954
0.3436 0.2500 0.9164
0.6564 0.7500 0.0836
0.8234 0.2500 0.5046
0.9407 0.7500 0.8358
0.4676 0.2500 0.3157
0.5324 0.7500 0.6843
0.0145 0.2500 0.3829
0.1096 0.2500 0.9442
0.2251 0.7500 0.2692
0.2938 0.7500 0.7459
0.3681 0.2500 0.5265
0.4149 0.7500 0.0869
0.5851 0.2500 0.9131
0.6319 0.7500 0.4735
0.7062 0.2500 0.2541
0.7749 0.2500 0.7308
0.8904 0.7500 0.0558
0.9855 0.7500 0.6171
```



Starting from a cell relaxed with GGA-PBE, the powder diffraction line list of TbDyPbSe was calculated for Cu Ka.

Principal peaks in the range 2θ = 10–90°, by angle:
2theta	I_rel
29.42	1000
42.09	764
52.19	273
60.98	86
69.14	237
69.31	118
76.88	177
77.02	88

Structural model:
```
TbDyPbSe
1.0
4.2977 0.0000 0.0000
0.0000 4.2977 0.0000
0.0000 0.0000 6.0597
Tb Dy Pb Se
1 1 1 1
direct
0.0000 0.0000 0.0000
0.5000 0.5000 0.5000
0.5000 0.5000 0.0000
0.0000 0.0000 0.5000
```



Starting from a cell relaxed with GGA-PBE, the powder diffraction line list of Dy5Si2Pb2 was calculated for Cu Ka.

Principal peaks in the range 2θ = 10–90°, by angle:
2theta	I_rel
25.35	613
32.27	923
32.52	927
32.63	893
33.25	1000
34.53	638
36.59	518
58.17	520

Structural model:
```
Dy5Si2Pb2
1.0
7.7061 -3.9361 0.0000
7.7061 3.9361 0.0000
0.0000 0.0000 7.8212
Dy Si Pb
10 4 4
direct
0.0000 0.0000 0.0000
0.0496 0.7009 0.6727
0.2009 0.5496 0.1727
0.2991 0.9504 0.6727
0.4504 0.7991 0.1727
0.5000 0.5000 0.5000
0.5496 0.2009 0.8273
0.7009 0.0496 0.3273
0.7991 0.4504 0.8273
0.9504 0.2991 0.3273
0.1243 0.8757 0.3747
0.3757 0.6243 0.8747
0.6243 0.3757 0.1253
0.8757 0.1243 0.6253
0.2144 0.2144 0.0000
0.2856 0.2856 0.5000
0.7144 0.7144 0.5000
0.7856 0.7856 0.0000
```



Starting from a cell relaxed with GGA-PBE, the powder diffraction line list of Dy3SiPb was calculated for Cu Ka.

Principal peaks in the range 2θ = 10–90°, by angle:
2theta	I_rel
27.81	1000
34.14	668
39.48	202
39.86	184
48.96	141
57.35	150
61.19	156
68.19	111

Structural model:
```
Dy3SiPb
1.0
4.5645 0.0000 0.0000
0.0000 6.8743 0.0000
0.0000 0.0000 9.0120
Dy Si Pb
6 2 2
direct
0.2500 0.0046 0.1663
0.2500 0.2500 0.5786
0.2500 0.4954 0.1663
0.7500 0.5046 0.8337
0.7500 0.7500 0.4214
0.7500 0.9954 0.8337
0.2500 0.2500 0.8992
0.7500 0.7500 0.1008
0.2500 0.7500 0.6463
0.7500 0.2500 0.3537
```



Starting from a cell relaxed with GGA-PBE, the powder diffraction line list of Dy3SnPb3 was calculated for Cu Ka.

Principal peaks in the range 2θ = 10–90°, by angle:
2theta	I_rel
30.50	234
31.23	299
34.37	1000
44.21	172
54.20	164
57.61	232
63.89	202
65.77	144

Structural model:
```
Dy3SnPb3
1.0
8.9547 0.0000 0.0000
-4.4773 7.7550 0.0000
0.0000 0.0000 5.7281
Dy Sn Pb
6 2 6
direct
0.0911 0.4516 0.2500
0.3605 0.9089 0.2500
0.4516 0.3605 0.7500
0.5484 0.6395 0.2500
0.6395 0.0911 0.7500
0.9089 0.5484 0.7500
0.3333 0.6667 0.7500
0.6667 0.3333 0.2500
0.0520 0.2536 0.7500
0.2016 0.9480 0.7500
0.2536 0.2016 0.2500
0.7464 0.7984 0.7500
0.7984 0.0520 0.2500
0.9480 0.7464 0.2500
```



Starting from a cell relaxed with GGA-PBE, the powder diffraction line list of TbDy3Pb4 was calculated for Cu Ka.

Principal peaks in the range 2θ = 10–90°, by angle:
2theta	I_rel
32.16	1000
32.20	665
39.74	379
51.97	352
57.27	264
57.46	131
67.39	490
85.50	178

Structural model:
```
TbDy3Pb4
1.0
11.1560 0.0000 0.0000
0.0000 6.4140 0.0000
0.0000 0.0000 6.4154
Tb Dy Pb
2 6 8
direct
0.0000 0.0000 0.0000
0.5000 0.0000 0.5000
0.0000 0.5000 0.5000
0.2500 0.2503 0.2500
0.2500 0.7497 0.7500
0.5000 0.5000 0.0000
0.7500 0.2503 0.2500
0.7500 0.7497 0.7500
0.0000 0.0000 0.5000
0.0000 0.5000 0.0000
0.2500 0.2498 0.7500
0.2500 0.7502 0.2500
0.5000 0.0000 0.0000
0.5000 0.5000 0.5000
0.7500 0.2498 0.7500
0.7500 0.7502 0.2500
```



Starting from a cell relaxed with GGA-PBE, the powder diffraction line list of Tb6Dy8Pb was calculated for Cu Ka.

Principal peaks in the range 2θ = 10–90°, by angle:
2theta	I_rel
26.03	353
28.79	158
32.64	575
32.99	1000
33.83	778
47.98	159
51.95	216
53.52	157

Structural model:
```
Tb6Dy8Pb
1.0
9.1782 0.0000 0.0000
-4.5891 7.9485 0.0000
0.0000 0.0000 6.7350
Tb Dy Pb
6 8 1
direct
0.0772 0.6814 0.3942
0.3186 0.3958 0.3942
0.3958 0.0772 0.6058
0.6042 0.9228 0.3942
0.6814 0.6042 0.6058
0.9228 0.3186 0.6058
0.0154 0.3271 0.1124
0.3117 0.9846 0.1124
0.3271 0.3117 0.8876
0.3333 0.6667 0.8138
0.6667 0.3333 0.1862
0.6729 0.6883 0.1124
0.6883 0.0154 0.8876
0.9846 0.6729 0.8876
0.0000 0.0000 0.5000
```